For La2CdInSe5, a DFT-relaxed cell (PBE, Alexandria) gives the calculated XRD peak list in this record (Cu Kα (λ = 1.5418 Å)).

Cell and atoms:
```
data_La2CdInSe5
_chemical_formula_sum 'La4 Cd2 In2 Se10'
_cell_length_a 9.1505
_cell_length_b 9.1505
_cell_length_c 12.6110
_cell_angle_alpha 90.00
_cell_angle_beta 90.00
_cell_angle_gamma 152.88
_symmetry_space_group_name_H-M 'P 1'
_symmetry_Int_Tables_number 1
loop_
_symmetry_equiv_pos_as_xyz
'x,y,z'
loop_
_atom_site_label
_atom_site_fract_x
_atom_site_fract_y
_atom_site_fract_z
_atom_site_occupancy
La1 0.1143 0.8857 0.5000 1
La2 0.1351 0.8649 0.1178 1
La3 0.8649 0.1351 0.6178 1
La4 0.8857 0.1143 0.0000 1
Cd1 0.2145 0.7855 0.8278 1
Cd2 0.7855 0.2145 0.3278 1
In1 0.4509 0.5491 0.2769 1
In2 0.5491 0.4509 0.7769 1
Se1 0.0482 0.9518 0.8997 1
Se2 0.2848 0.7152 0.4826 1
Se3 0.3118 0.6882 0.1673 1
Se4 0.3683 0.6317 0.8123 1
Se5 0.4946 0.5054 0.5811 1
Se6 0.5054 0.4946 0.0811 1
Se7 0.6317 0.3683 0.3123 1
Se8 0.6882 0.3118 0.6673 1
Se9 0.7152 0.2848 0.9826 1
Se10 0.9518 0.0482 0.3997 1
```

Main lines, by angle (2θ = 10–90°):
2θ/deg  intensity
25.61  455
30.18  1000
30.98  611
35.73  617
38.55  151
39.26  266
42.12  379
43.81  167
44.33  245
53.20  258